Starting from the PBE geometry in Alexandria, the PXRD pattern of SnSbN2 was calculated for a wavelength of 1.5418 Å.
Neutral-atom scattering factors, no anomalous dispersion.

Atomic structure:
```
data_SnSbN2
_cell_length_a 4.4662
_cell_length_b 4.4670
_cell_length_c 8.9303
_cell_angle_alpha 93.75
_cell_angle_beta 104.02
_cell_angle_gamma 103.26
_symmetry_space_group_name_H-M 'P 1'
_symmetry_Int_Tables_number 1
loop_
_symmetry_equiv_pos_as_xyz
'x,y,z'
loop_
_atom_site_label
_atom_site_fract_x
_atom_site_fract_y
_atom_site_fract_z
Sn1 0.0000 0.0000 0.0000
Sb1 0.6284 0.4065 0.0440
N1 0.4752 0.9248 0.4681
N2 0.6638 0.8374 0.5452
```

The 10 most intense peaks (10 to 80 degrees two-theta), in order of rising 2θ:
h k l	two_theta	d [Å]	I (rel.)
0 0 1	10.3	8.593	100.0
0 0 2	20.7	4.297	35.0
1 -1 0	25.6	3.478	8.3
-1 1 1	26.5	3.363	13.6
0 0 3	31.2	2.868	14.4
1 1 -1	32.4	2.767	11.5
1 1 0	33.4	2.685	6.9
1 1 1	37.5	2.398	7.0
0 0 4	42.0	2.150	10.5
-1 1 4	47.1	1.930	6.9